The following is a simulated powder diffraction line list of Ti3Fe2TeP6O24. It was derived from a DFT-relaxed cell (GGA+U, the Materials Project), using CuKα.
Lines closer than 0.1° are merged.

Most intense lines, 2θ from 5° to 70°, low angle first:
hkl 1 1 0, 2θ = 20.14°, intensity 94
hkl 1 0 4, 2θ = 20.55°, intensity 17
hkl 2 -1 3, 2θ = 23.86°, intensity 100
hkl 2 0 2, 2θ = 24.82°, intensity 16
hkl 3 -1 1, 2θ = 31.29°, intensity 17
hkl 1 1 6, 2θ = 32.70°, intensity 78
hkl 3 0 0, 2θ = 35.26°, intensity 44
hkl 1 2 8, 2θ = 46.82°, intensity 31
hkl 2 2 6, 2θ = 48.85°, intensity 30
hkl 1 4 0, 2θ = 55.12°, intensity 27
hkl 3 1 8, 2θ = 55.81°, intensity 15
hkl 4 1 6, 2θ = 61.67°, intensity 22

Structure:
```
data_Ti3Fe2TeP6O24
_symmetry_space_group_name_H-M 'R 3'
_symmetry_Int_Tables_number 146
_symmetry_space_group_name_Hall 'R 3'
_cell_length_a 8.8167
_cell_length_b 8.8167
_cell_length_c 20.9707
_cell_angle_alpha 90.00
_cell_angle_beta 90.00
_cell_angle_gamma 120.00
loop_
_atom_site_label
_atom_site_type_symbol
_atom_site_fract_x
_atom_site_fract_y
_atom_site_fract_z
Ti1 Ti 0.0000 0.0000 0.0000
Ti2 Ti 0.0000 0.0000 0.2111
Ti3 Ti 0.0000 0.0000 0.7122
Fe1 Fe 0.0000 0.0000 0.3517
Fe2 Fe 0.0000 0.0000 0.8557
Te1 Te 0.0000 0.0000 0.5006
P1 P 0.0002 0.3017 0.6077
P2 P 0.0460 0.6730 0.7713
O1 O 0.0033 0.1960 0.6649
O2 O 0.0071 0.8095 0.1655
O3 O 0.0126 0.1804 0.2801
O4 O 0.0216 0.8355 0.7794
O5 O 0.1218 0.4519 0.2103
O6 O 0.1526 0.6848 0.7118
O7 O 0.1599 0.6863 0.0933
O8 O 0.1643 0.4879 0.6010
```

***

The following is a simulated powder diffraction line list of V3Fe2TeP6O24. It was derived from a DFT-relaxed cell (GGA+U, the Materials Project), using CuKα.
Lines closer than 0.1° are merged.

Most intense lines, 2θ from 5° to 70°, low angle first:
hkl 1 1 0, 2θ = 20.26°, intensity 100
hkl 1 0 4, 2θ = 20.55°, intensity 20
hkl 2 -1 3, 2θ = 23.95°, intensity 99
hkl 2 0 2, 2θ = 24.94°, intensity 15
hkl 3 -1 1, 2θ = 31.47°, intensity 17
hkl 1 1 6, 2θ = 32.72°, intensity 78
hkl 3 0 0, 2θ = 35.47°, intensity 45
hkl 1 2 8, 2θ = 46.88°, intensity 33
hkl 2 2 6, 2θ = 49.03°, intensity 30
hkl 1 4 0, 2θ = 55.46°, intensity 28
hkl 3 1 8, 2θ = 55.96°, intensity 16
hkl 4 1 6, 2θ = 61.96°, intensity 22

Structure:
```
data_V3Fe2TeP6O24
_symmetry_space_group_name_H-M 'R 3'
_symmetry_Int_Tables_number 146
_symmetry_space_group_name_Hall 'R 3'
_cell_length_a 8.7666
_cell_length_b 8.7666
_cell_length_c 21.0240
_cell_angle_alpha 90.00
_cell_angle_beta 90.00
_cell_angle_gamma 120.00
loop_
_atom_site_label
_atom_site_type_symbol
_atom_site_fract_x
_atom_site_fract_y
_atom_site_fract_z
V1 V 0.0000 0.0000 0.0000
V2 V 0.0000 0.0000 0.2130
V3 V 0.0000 0.0000 0.4992
Fe1 Fe 0.0000 0.0000 0.3567
Fe2 Fe 0.0000 0.0000 0.8610
Te1 Te 0.0000 0.0000 0.7122
P1 P 0.9998 0.6986 0.6041
P2 P 0.0067 0.2927 0.1079
O1 O 0.0105 0.8333 0.2766
O2 O 0.0153 0.1975 0.1681
O3 O 0.0211 0.1932 0.7857
O4 O 0.1193 0.6672 0.3350
O5 O 0.1400 0.4699 0.7142
O6 O 0.1396 0.6678 0.2138
O7 O 0.1649 0.6782 0.5988
O8 O 0.1697 0.4817 0.1009
```